Entry 1:
For Ac5Ni2Sb, a PBE-relaxed structure gives the theoretical powder diffraction line list in this record (Cu Kα).
No peak broadening, texture or thermal motion is included.

Top 12 peaks for 2θ from 5° to 70°, low angle first:
| 2θ/deg | Rel. int. | (hkl) |
| --- | --- | --- |
| 24.33 | 47.1 | 2 1 1 |
| 28.95 | 36.6 | 1 1 4 |
| 30.08 | 100.0 | 2 1 3 |
| 32.67 | 38.1 | 2 0 4 |
| 33.50 | 67.5 | 3 1 0 |
| 39.32 | 15.8 | 2 1 5 |
| 48.24 | 14.2 | 4 1 3 |
| 50.03 | 18.4 | 4 0 4 |
| 50.50 | 16.8 | 2 1 7 |
| 52.47 | 27.7 | 3 3 4 |
| 62.14 | 25.0 | 4 4 0 |
| 62.19 | 18.0 | 5 2 3 |

Crystal structure
```
data_Ac5Ni2Sb
_chemical_formula_sum 'Ac20 Ni8 Sb4'
_space_group_name_H-M_alt 'I 4/m c m'
_space_group_IT_number 140
_space_group_name_Hall '-I 4 2c'
_cell_length_a 8.458
_cell_length_b 8.458
_cell_length_c 14.401
_cell_angle_alpha 90.00
_cell_angle_beta 90.00
_cell_angle_gamma 90.00
loop_
_atom_site_label
_atom_site_type_symbol
_atom_site_fract_x
_atom_site_fract_y
_atom_site_fract_z
Ac1 Ac 0.000 0.000 0.000
Ac2 Ac 0.157 0.343 0.136
Ni1 Ni 0.139 0.361 0.500
Sb1 Sb 0.000 0.000 0.250
```

=====

Entry 2:
For Ac3Ni3Sb4, a PBE-relaxed structure gives the theoretical powder diffraction line list in this record (Cu Kα).
No peak broadening, texture or thermal motion is included.

Top 12 peaks for 2θ from 5° to 70°, low angle first:
| 2θ/deg | Rel. int. | (hkl) |
| --- | --- | --- |
| 21.70 | 17.3 | 2 1 1 |
| 28.13 | 73.2 | 3 1 0 |
| 33.43 | 100.0 | 3 2 1 |
| 40.21 | 46.5 | 4 2 0 |
| 42.26 | 18.5 | 3 3 2 |
| 44.24 | 15.8 | 4 2 2 |
| 46.15 | 13.0 | 4 3 1 |
| 56.56 | 29.0 | 6 1 1 |
| 58.17 | 14.7 | 6 2 0 |
| 59.75 | 12.2 | 5 4 1 |
| 64.35 | 11.0 | 4 4 4 |
| 68.78 | 22.6 | 5 5 2 |

Crystal structure
```
data_Ac3Ni3Sb4
_chemical_formula_sum 'Ac12 Ni12 Sb16'
_space_group_name_H-M_alt 'I -4 3 d'
_space_group_IT_number 220
_space_group_name_Hall 'I -4bd 2c 3'
_cell_length_a 10.030
_cell_length_b 10.030
_cell_length_c 10.030
_cell_angle_alpha 90.00
_cell_angle_beta 90.00
_cell_angle_gamma 90.00
loop_
_atom_site_label
_atom_site_type_symbol
_atom_site_fract_x
_atom_site_fract_y
_atom_site_fract_z
Ac1 Ac 0.000 0.250 0.375
Ni1 Ni 0.000 0.250 0.875
Sb1 Sb 0.076 0.076 0.076
```

=====

Entry 3:
For AcSi4Ni6, a PBE-relaxed structure gives the theoretical powder diffraction line list in this record (Cu Kα).
No peak broadening, texture or thermal motion is included.

Top 12 peaks for 2θ from 5° to 70°, low angle first:
| 2θ/deg | Rel. int. | (hkl) |
| --- | --- | --- |
| 17.70 | 18.1 | 1 1 0 |
| 19.73 | 43.2 | 0 2 0 |
| 21.86 | 51.1 | 2 0 -1 |
| 33.36 | 100.0 | 1 1 1 |
| 35.84 | 79.6 | 2 2 -2 |
| 36.01 | 58.4 | 3 1 -2 |
| 40.08 | 38.8 | 0 4 0 |
| 44.12 | 60.9 | 1 3 1 |
| 46.11 | 36.2 | 2 0 -3 |
| 46.25 | 31.4 | 3 1 0 |
| 53.49 | 35.1 | 4 2 -1 |
| 61.11 | 22.2 | 1 3 2 |

Crystal structure
```
data_AcSi4Ni6
_chemical_formula_sum 'Ac2 Si8 Ni12'
_space_group_name_H-M_alt 'C 1 m 1'
_space_group_IT_number 8
_space_group_name_Hall 'C -2y'
_cell_length_a 8.132
_cell_length_b 8.995
_cell_length_c 6.061
_cell_angle_alpha 90.00
_cell_angle_beta 132.02
_cell_angle_gamma 90.00
loop_
_atom_site_label
_atom_site_type_symbol
_atom_site_fract_x
_atom_site_fract_y
_atom_site_fract_z
Ac1 Ac 0.000 0.000 0.000
Si1 Si 0.330 0.198 0.001
Si2 Si 0.370 0.500 0.397
Si3 Si 0.472 0.000 0.603
Ni1 Ni 0.039 0.500 0.299
Ni2 Ni 0.111 0.351 0.001
Ni3 Ni 0.240 0.000 0.703
Ni4 Ni 0.252 0.250 0.501
```

=====

Entry 4:
For Ac5Si3Ni3, a PBE-relaxed structure gives the theoretical powder diffraction line list in this record (Cu Kα).
No peak broadening, texture or thermal motion is included.

Top 12 peaks for 2θ from 5° to 70°, low angle first:
| 2θ/deg | Rel. int. | (hkl) |
| --- | --- | --- |
| 21.10 | 87.7 | 0 0 1 |
| 22.29 | 14.8 | 2 0 0 |
| 28.72 | 29.1 | 1 1 1 |
| 29.63 | 88.0 | 2 1 0 |
| 33.71 | 29.1 | 3 0 0 |
| 36.66 | 100.0 | 2 1 1 |
| 40.11 | 21.2 | 3 0 1 |
| 42.95 | 18.6 | 0 0 2 |
| 52.58 | 15.6 | 4 1 0 |
| 53.05 | 35.5 | 2 1 2 |
| 55.68 | 14.0 | 3 0 2 |
| 57.27 | 30.1 | 4 1 1 |

Crystal structure
```
data_Ac5Si3Ni3
_chemical_formula_sum 'Ac5 Si3 Ni3'
_space_group_name_H-M_alt 'P -6 2 m'
_space_group_IT_number 189
_space_group_name_Hall 'P -6 -2'
_cell_length_a 9.2106
_cell_length_b 9.2106
_cell_length_c 4.2115
_cell_angle_alpha 90.00
_cell_angle_beta 90.00
_cell_angle_gamma 120.00
loop_
_atom_site_label
_atom_site_type_symbol
_atom_site_fract_x
_atom_site_fract_y
_atom_site_fract_z
Ac1 Ac 0.0000 0.7631 0.0000
Ac2 Ac 0.3333 0.6667 0.0000
Si1 Si 0.0000 0.3364 0.5000
Ni1 Ni 0.0000 0.4114 0.0000
```

=====

Entry 5:
For Ac3Si2Ni3, a PBE-relaxed structure gives the theoretical powder diffraction line list in this record (Cu Kα).
No peak broadening, texture or thermal motion is included.

Top 12 peaks for 2θ from 5° to 70°, low angle first:
| 2θ/deg | Rel. int. | (hkl) |
| --- | --- | --- |
| 23.32 | 100.0 | 0 2 3 |
| 25.53 | 25.7 | 1 1 2 |
| 28.11 | 20.2 | 0 2 4 |
| 31.34 | 17.6 | 1 3 0 |
| 31.91 | 60.6 | 1 3 1 |
| 32.88 | 97.9 | 1 1 4 |
| 35.43 | 28.4 | 0 4 3 |
| 35.67 | 17.5 | 0 0 6 |
| 39.59 | 23.4 | 1 3 4 |
| 43.33 | 29.3 | 2 0 0 |
| 49.77 | 17.9 | 2 2 3 |
| 53.22 | 34.8 | 1 3 7 |

Crystal structure
```
data_Ac3Si2Ni3
_chemical_formula_sum 'Ac12 Si8 Ni12'
_space_group_name_H-M_alt 'C m c m'
_space_group_IT_number 63
_space_group_name_Hall '-C 2c 2'
_cell_length_a 4.176
_cell_length_b 11.728
_cell_length_c 15.102
_cell_angle_alpha 90.00
_cell_angle_beta 90.00
_cell_angle_gamma 90.00
loop_
_atom_site_label
_atom_site_type_symbol
_atom_site_fract_x
_atom_site_fract_y
_atom_site_fract_z
Ac1 Ac 0.000 0.083 0.108
Ac2 Ac 0.000 0.366 0.250
Si1 Si 0.000 0.201 0.600
Ni1 Ni 0.000 0.312 0.030
Ni2 Ni 0.000 0.318 0.750
```

=====

Entry 6:
For Ac3Si3Ni, a PBE-relaxed structure gives the theoretical powder diffraction line list in this record (Cu Kα).
No peak broadening, texture or thermal motion is included.

Top 12 peaks for 2θ from 5° to 70°, low angle first:
| 2θ/deg | Rel. int. | (hkl) |
| --- | --- | --- |
| 19.97 | 29.8 | 0 1 1 |
| 25.63 | 71.7 | 1 0 3 |
| 28.30 | 24.9 | 0 0 6 |
| 30.52 | 100.0 | 1 1 2 |
| 30.66 | 64.9 | 0 1 5 |
| 34.76 | 23.3 | 1 1 4 |
| 39.40 | 24.7 | 0 2 0 |
| 47.60 | 28.9 | 1 2 3 |
| 48.52 | 36.6 | 1 0 9 |
| 54.11 | 26.9 | 2 1 5 |
| 57.21 | 23.2 | 0 1 11 |
| 66.02 | 18.8 | 0 3 5 |

Crystal structure
```
data_Ac3Si3Ni
_chemical_formula_sum 'Ac6 Si6 Ni2'
_space_group_name_H-M_alt 'I m m 2'
_space_group_IT_number 44
_space_group_name_Hall 'I 2 -2'
_cell_length_a 4.166
_cell_length_b 4.574
_cell_length_c 18.921
_cell_angle_alpha 90.00
_cell_angle_beta 90.00
_cell_angle_gamma 90.00
loop_
_atom_site_label
_atom_site_type_symbol
_atom_site_fract_x
_atom_site_fract_y
_atom_site_fract_z
Ac1 Ac 0.000 0.000 0.000
Ac2 Ac 0.000 0.000 0.365
Ac3 Ac 0.000 0.500 0.679
Si1 Si 0.000 0.000 0.552
Si2 Si 0.000 0.000 0.813
Si3 Si 0.000 0.500 0.236
Ni1 Ni 0.000 0.500 0.114
```

=====

Entry 7:
For Ac2Si5Ni, a PBE-relaxed structure gives the theoretical powder diffraction line list in this record (Cu Kα).
No peak broadening, texture or thermal motion is included.

Top 12 peaks for 2θ from 5° to 70°, low angle first:
| 2θ/deg | Rel. int. | (hkl) |
| --- | --- | --- |
| 16.07 | 32.9 | 0 0 2 |
| 22.64 | 42.5 | 1 1 0 |
| 27.89 | 100.0 | 1 1 2 |
| 32.23 | 27.9 | 2 0 0 |
| 32.46 | 17.7 | 0 0 4 |
| 36.21 | 61.4 | 2 0 2 |
| 39.94 | 45.7 | 1 1 4 |
| 46.23 | 23.0 | 2 2 0 |
| 54.86 | 29.9 | 3 1 2 |
| 57.62 | 13.5 | 2 2 4 |
| 60.38 | 19.7 | 2 0 6 |
| 62.71 | 25.8 | 3 1 4 |

Crystal structure
```
data_Ac2Si5Ni
_chemical_formula_sum 'Ac4 Si10 Ni2'
_space_group_name_H-M_alt 'I 4 m m'
_space_group_IT_number 107
_space_group_name_Hall 'I 4 -2'
_cell_length_a 5.554
_cell_length_b 5.554
_cell_length_c 11.032
_cell_angle_alpha 90.00
_cell_angle_beta 90.00
_cell_angle_gamma 90.00
loop_
_atom_site_label
_atom_site_type_symbol
_atom_site_fract_x
_atom_site_fract_y
_atom_site_fract_z
Ac1 Ac 0.000 0.500 0.000
Si1 Si 0.000 0.000 0.365
Si2 Si 0.223 0.223 0.745
Ni1 Ni 0.000 0.000 0.156
```

=====

Entry 8:
For AcSmSi2Ni2, a PBE-relaxed structure gives the theoretical powder diffraction line list in this record (Cu Kα).
No peak broadening, texture or thermal motion is included.

Top 12 peaks for 2θ from 5° to 70°, low angle first:
| 2θ/deg | Rel. int. | (hkl) |
| --- | --- | --- |
| 20.46 | 7.9 | 0 0 2 |
| 25.37 | 33.5 | 1 0 0 |
| 27.40 | 7.6 | 1 0 1 |
| 32.81 | 100.0 | 0 1 2 |
| 41.62 | 12.0 | 0 0 4 |
| 44.71 | 30.8 | 1 1 0 |
| 49.37 | 12.4 | 1 0 4 |
| 49.64 | 5.5 | 1 1 2 |
| 52.10 | 5.0 | 2 0 0 |
| 56.55 | 21.2 | 2 0 2 |
| 62.72 | 21.1 | 1 1 4 |
| 68.79 | 4.8 | 0 2 4 |

Crystal structure
```
data_AcSmSi2Ni2
_chemical_formula_sum 'Ac1 Sm1 Si2 Ni2'
_space_group_name_H-M_alt 'P -3 m 1'
_space_group_IT_number 164
_space_group_name_Hall '-P 3 2"'
_cell_length_a 4.0542
_cell_length_b 4.0542
_cell_length_c 8.6795
_cell_angle_alpha 90.00
_cell_angle_beta 90.00
_cell_angle_gamma 120.00
loop_
_atom_site_label
_atom_site_type_symbol
_atom_site_fract_x
_atom_site_fract_y
_atom_site_fract_z
Ac1 Ac 0.0000 0.0000 0.0000
Sm1 Sm 0.0000 0.0000 0.5000
Si1 Si 0.3333 0.6667 0.2663
Ni1 Ni 0.3333 0.6667 0.7343
```

=====

Entry 9:
For SrAcSiNi, a PBE-relaxed structure gives the theoretical powder diffraction line list in this record (Cu Kα).
No peak broadening, texture or thermal motion is included.

Top 12 peaks for 2θ from 5° to 70°, low angle first:
| 2θ/deg | Rel. int. | (hkl) |
| --- | --- | --- |
| 10.92 | 97.6 | 0 0 1 |
| 21.93 | 34.8 | 0 0 2 |
| 24.91 | 96.6 | 2 0 -1 |
| 25.72 | 27.7 | 1 1 -1 |
| 28.74 | 78.5 | 1 1 1 |
| 30.83 | 100.0 | 2 0 1 |
| 35.86 | 67.9 | 2 0 -3 |
| 38.71 | 30.4 | 1 1 -3 |
| 43.38 | 64.3 | 0 2 0 |
| 44.89 | 27.2 | 3 1 -2 |
| 49.12 | 26.6 | 0 2 2 |
| 64.07 | 39.7 | 3 1 3 |

Crystal structure
```
data_SrAcSiNi
_chemical_formula_sum 'Sr2 Ac2 Si2 Ni2'
_space_group_name_H-M_alt 'C 1 m 1'
_space_group_IT_number 8
_space_group_name_Hall 'C -2y'
_cell_length_a 7.226
_cell_length_b 4.173
_cell_length_c 8.458
_cell_angle_alpha 90.00
_cell_angle_beta 106.63
_cell_angle_gamma 90.00
loop_
_atom_site_label
_atom_site_type_symbol
_atom_site_fract_x
_atom_site_fract_y
_atom_site_fract_z
Sr1 Sr 0.000 0.000 0.000
Ac1 Ac 0.330 0.500 0.493
Si1 Si 0.247 0.000 0.743
Ni1 Ni 0.078 0.500 0.735
```

=====

Entry 10:
For AcTbSiNi, a PBE-relaxed structure gives the theoretical powder diffraction line list in this record (Cu Kα).
No peak broadening, texture or thermal motion is included.

Top 10 peaks for 2θ from 5° to 70°, low angle first:
| 2θ/deg | Rel. int. | (hkl) |
| --- | --- | --- |
| 21.14 | 5.2 | 1 1 1 |
| 24.45 | 43.6 | 2 0 0 |
| 34.86 | 100.0 | 2 2 0 |
| 41.12 | 3.1 | 3 1 1 |
| 43.04 | 13.7 | 2 2 2 |
| 50.12 | 17.9 | 4 0 0 |
| 54.98 | 1.4 | 3 3 1 |
| 56.53 | 19.0 | 4 2 0 |
| 62.50 | 36.9 | 4 2 2 |
| 66.77 | 1.0 | 5 1 1 |

Crystal structure
```
data_AcTbSiNi
_chemical_formula_sum 'Ac4 Tb4 Si4 Ni4'
_space_group_name_H-M_alt 'F -4 3 m'
_space_group_IT_number 216
_space_group_name_Hall 'F -4 2 3'
_cell_length_a 7.280
_cell_length_b 7.280
_cell_length_c 7.280
_cell_angle_alpha 90.00
_cell_angle_beta 90.00
_cell_angle_gamma 90.00
loop_
_atom_site_label
_atom_site_type_symbol
_atom_site_fract_x
_atom_site_fract_y
_atom_site_fract_z
Ac1 Ac 0.000 0.000 0.000
Tb1 Tb 0.000 0.000 0.500
Si1 Si 0.250 0.250 0.250
Ni1 Ni 0.250 0.250 0.750
```

=====

Entry 11:
For Ac2ZnSi4Ni3, a PBE-relaxed structure gives the theoretical powder diffraction line list in this record (Cu Kα).
No peak broadening, texture or thermal motion is included.

Top 12 peaks for 2θ from 5° to 70°, low angle first:
| 2θ/deg | Rel. int. | (hkl) |
| --- | --- | --- |
| 17.76 | 17.0 | 0 0 2 |
| 22.87 | 70.3 | 1 0 1 |
| 29.94 | 36.4 | 1 1 0 |
| 34.30 | 92.0 | 1 0 3 |
| 35.02 | 100.0 | 1 1 2 |
| 42.85 | 49.5 | 2 0 0 |
| 49.12 | 20.3 | 2 1 1 |
| 50.54 | 27.2 | 1 0 5 |
| 56.00 | 45.5 | 2 1 3 |
| 62.21 | 16.2 | 2 2 0 |
| 64.04 | 19.5 | 1 1 6 |
| 68.37 | 22.2 | 2 1 5 |

Crystal structure
```
data_Ac2ZnSi4Ni3
_chemical_formula_sum 'Ac2 Zn1 Si4 Ni3'
_space_group_name_H-M_alt 'P -4 m 2'
_space_group_IT_number 115
_space_group_name_Hall 'P -4 -2'
_cell_length_a 4.221
_cell_length_b 4.221
_cell_length_c 9.989
_cell_angle_alpha 90.00
_cell_angle_beta 90.00
_cell_angle_gamma 90.00
loop_
_atom_site_label
_atom_site_type_symbol
_atom_site_fract_x
_atom_site_fract_y
_atom_site_fract_z
Ac1 Ac 0.000 0.500 0.246
Zn1 Zn 0.000 0.000 0.500
Si1 Si 0.000 0.000 0.000
Si2 Si 0.000 0.500 0.634
Si3 Si 0.500 0.500 0.000
Ni1 Ni 0.000 0.500 0.886
Ni2 Ni 0.500 0.500 0.500
```

=====

Entry 12:
For Ac12Ni5Sn, a PBE-relaxed structure gives the theoretical powder diffraction line list in this record (Cu Kα).
No peak broadening, texture or thermal motion is included.

Top 12 peaks for 2θ from 5° to 70°, low angle first:
| 2θ/deg | Rel. int. | (hkl) |
| --- | --- | --- |
| 25.89 | 63.0 | 1 0 3 |
| 26.44 | 56.1 | 0 3 1 |
| 27.25 | 71.6 | 3 1 0 |
| 29.13 | 100.0 | 2 2 2 |
| 31.19 | 77.9 | 2 1 3 |
| 31.30 | 79.9 | 1 3 2 |
| 32.07 | 56.0 | 3 2 1 |
| 48.91 | 32.6 | 0 3 5 |
| 50.46 | 34.5 | 3 5 0 |
| 52.46 | 26.1 | 3 2 5 |
| 52.91 | 32.2 | 2 5 3 |
| 54.11 | 42.0 | 5 3 2 |

Crystal structure
```
data_Ac12Ni5Sn
_chemical_formula_sum 'Ac24 Ni10 Sn2'
_space_group_name_H-M_alt 'I m m m'
_space_group_IT_number 71
_space_group_name_Hall '-I 2 2'
_cell_length_a 10.313
_cell_length_b 10.632
_cell_length_c 10.944
_cell_angle_alpha 90.00
_cell_angle_beta 90.00
_cell_angle_gamma 90.00
loop_
_atom_site_label
_atom_site_type_symbol
_atom_site_fract_x
_atom_site_fract_y
_atom_site_fract_z
Ac1 Ac 0.000 0.185 0.197
Ac2 Ac 0.188 0.500 0.176
Ac3 Ac 0.190 0.318 0.500
Ni1 Ni 0.000 0.000 0.000
Ni2 Ni 0.000 0.374 0.000
Ni3 Ni 0.000 0.500 0.380
Sn1 Sn 0.000 0.000 0.500
```